This entry pairs a crystal structure of KrF2 with its simulated X-ray powder pattern. Radiation: a wavelength of 1.5418 Å. Structure: a crystal structure in the Materials Project, relaxed with PBE.
Lines closer than 0.1° are merged.

Cell and atoms:
```
KrF2
1.0
4.7316 0.0000 0.0000
0.0000 4.7316 0.0000
0.0000 0.0000 6.0367
Kr F
2 4
direct
0.0000 0.0000 0.0000 Kr
0.5000 0.5000 0.5000 Kr
0.2106 0.2106 0.5000 F
0.2894 0.7106 0.0000 F
0.7106 0.2894 0.0000 F
0.7894 0.7894 0.5000 F
```

Main lines, sorted by position (2θ from 10° to 90°):
- d 3.724, I = 100.0, hkl 1 0 1
- d 3.346, I = 51.8, hkl 1 1 0
- d 3.018, I = 40.7, hkl 0 0 2
- d 2.926, I = 13.9, hkl 1 1 1
- d 2.241, I = 33.2, hkl 1 1 2
- d 1.997, I = 52.7, hkl 2 1 1
- d 1.852, I = 13.8, hkl 1 0 3
- d 1.526, I = 14.5, hkl 3 0 1
- d 1.463, I = 13.3, hkl 2 2 2
- d 1.458, I = 18.2, hkl 2 1 3